# NaScP2Se8
Theoretical X-ray powder pattern, Cu Ka. Input: a GGA-PBE-relaxed structure.

The 10 most intense peaks (2θ = 10–80°), most intense first:
| two_theta | Rel. int. | hkl |
| --- | --- | --- |
| 30.00 | 100.0 | 2 -1 3 |
| 35.00 | 68.5 | 1 1 6 |
| 49.84 | 32.4 | 3 0 0 |
| 50.84 | 32.0 | 2 -1 12 |
| 30.76 | 30.2 | 0 0 9 |
| 59.72 | 22.7 | 0 3 9 |
| 59.27 | 11.8 | 2 2 3 |
| 60.60 | 11.7 | 1 1 15 |
| 62.35 | 10.7 | 4 -2 6 |
| 23.49 | 9.7 | 0 1 5 |

Structure:
```
data_NaScP2Se8
_chemical_formula_sum 'Na3 Sc3 P6 Se24'
_cell_length_a 6.3384
_cell_length_b 6.3384
_cell_length_c 26.1592
_cell_angle_alpha 90.00
_cell_angle_beta 90.00
_cell_angle_gamma 120.00
_space_group_name_H-M_alt 'R -3'
_space_group_IT_number 148
_space_group_name_Hall '-R 3'
loop_
_atom_site_label
_atom_site_type_symbol
_atom_site_fract_x
_atom_site_fract_y
_atom_site_fract_z
_atom_site_occupancy
Na1 Na 0.0000 0.0000 0.0000 1
Sc1 Sc 0.0000 0.0000 0.5000 1
P1 P 0.0000 0.0000 0.2508 1
Se1 Se 0.0000 0.0000 0.3354 1
Se2 Se 0.0090 0.6990 0.8926 1
```